Structure and simulated powder diffraction line list of Ho3Ga2Cu7 (a structure optimized by DFT (PBE); Cu Kα X-rays).
Lines closer than 0.1° are merged.

Crystal structure
Cell lengths 3.941, 3.941, 26.892 Å; angles 90.00, 90.00, 90.00 degrees
Space group I4/mmm (No. 139)
Asymmetric unit:
1 Ho 0.000 0.000 0.000 x2
2 Ho 0.000 0.000 0.173 x4
3 Ga 0.000 0.000 0.369 x4
4 Cu 0.000 0.000 0.276 x4
5 Cu 0.000 0.000 0.500 x2
6 Cu 0.000 0.500 0.076 x8

Top 10 peaks for 10° ≤ 2θ ≤ 90°, by angle:
2θ = 28.07°, I 309, hkl 1 0 5
2θ = 32.12°, I 423, hkl 1 1 0
2θ = 37.78°, I 295, hkl 1 0 9
2θ = 38.02°, I 1000, hkl 1 1 6
2θ = 42.12°, I 183, hkl 1 1 8
2θ = 43.56°, I 452, hkl 1 0 11
2θ = 46.06°, I 605, hkl 2 0 0
2θ = 65.26°, I 268, hkl 2 1 11
2θ = 67.18°, I 187, hkl 2 2 0
2θ = 79.88°, I 220, hkl 3 1 6